# Li4V3Fe2Ni3O16
Simulated powder diffractogram, λ = 1.5418 Å (Cu Kα). Input: a crystal structure in Alexandria, relaxed with GGA+U.
Intensities are scaled so that the largest is 100.

Cell lengths 5.8838, 5.8956, 9.6538 Å; angles 92.09, 90.43, 119.32 degrees
Space group P1 (No. 1)
Inequivalent atoms, fractional coordinates:
Li: 0.0000 0.0000 0.0000
Li: 0.0397 0.0403 0.5117
Li: 0.3534 0.6884 0.6082
Li: 0.7135 0.3988 0.0894
V: 0.2466 0.9038 0.2579
V: 0.6952 0.8228 0.3040
V: 0.8310 0.6641 0.7774
Fe: 0.3301 0.6614 0.9901
Fe: 0.6711 0.3137 0.5222
Ni: 0.1831 0.3696 0.2862
Ni: 0.3485 0.1713 0.7889
Ni: 0.8457 0.1817 0.7873
O: 0.0085 0.0016 0.1916
O: 0.0727 0.5813 0.1657
O: 0.1525 0.3190 0.9075
O: 0.1554 0.8224 0.8951
O: 0.3410 0.1666 0.3976
O: 0.3748 0.7360 0.3854
O: 0.5059 0.0337 0.1526
O: 0.5250 0.5824 0.1627
O: 0.5397 0.5007 0.6573
O: 0.5502 0.0497 0.6612
O: 0.6705 0.8055 0.8964
O: 0.7049 0.3634 0.8881
O: 0.8245 0.6819 0.4061
O: 0.8449 0.1609 0.3951
O: 0.9816 0.5202 0.6542
O: 0.9877 0.9949 0.6952

Most intense lines, 2θ = 15–90°, in order of rising 2θ:
two_theta	intensity	(hkl)
18.40	100	0 0 2
19.20	29	0 1 -1
19.37	42	1 0 -1
19.86	48	1 0 1
33.26	27	-1 1 3
35.82	25	2 -1 2
36.68	36	0 2 1
40.35	25	2 0 2
45.90	25	-2 2 3
63.18	36	4 -2 0